Simulated PXRD pattern
Compound: LiTaWO6
Radiation: Cu Kα (λ = 1.5418 Å)
Structure: a DFT-relaxed cell (GGA+U, Alexandria)

Structural model:
a = 7.442 Å, b = 7.442 Å, c = 10.445 Å
α = 90.00°, β = 90.00°, γ = 90.00°
Sites, in units of the cell vectors:
Li: 0.000 0.361 0.000
Li: 0.000 0.639 0.500
Li: 0.361 0.000 0.750
Li: 0.639 0.000 0.250
Ta: 0.000 0.242 0.500
Ta: 0.000 0.758 0.000
Ta: 0.242 0.000 0.250
Ta: 0.758 0.000 0.750
W: 0.249 0.500 0.250
W: 0.500 0.249 0.500
W: 0.500 0.751 0.000
W: 0.751 0.500 0.750
O: 0.060 0.060 0.375
O: 0.060 0.940 0.125
O: 0.066 0.446 0.379
O: 0.066 0.554 0.121
O: 0.244 0.255 0.190
O: 0.244 0.745 0.310
O: 0.255 0.244 0.560
O: 0.255 0.756 0.940
O: 0.431 0.431 0.375
O: 0.431 0.569 0.125
O: 0.446 0.066 0.371
O: 0.446 0.934 0.129
O: 0.554 0.066 0.629
O: 0.554 0.934 0.871
O: 0.569 0.431 0.625
O: 0.569 0.569 0.875
O: 0.745 0.244 0.440
O: 0.745 0.756 0.060
O: 0.756 0.255 0.810
O: 0.756 0.745 0.690
O: 0.934 0.446 0.621
O: 0.934 0.554 0.879
O: 0.940 0.060 0.625
O: 0.940 0.940 0.875

Largest 6 diffraction maxima, in order of rising 2θ, 10 to 90 degrees two-theta:
- 2θ = 14.62°, I = 100
- 2θ = 28.14°, I = 33
- 2θ = 28.30°, I = 16
- 2θ = 29.48°, I = 57
- 2θ = 49.16°, I = 16
- 2θ = 58.19°, I = 17